Entry 1:
This entry pairs a crystal structure of Li3As2H with its simulated PXRD pattern. Radiation: λ = 1.5418 Å (Cu Kα). Structure: a DFT-relaxed cell (GGA-PBE, Alexandria).

Peak list (10 most intense, 2θ = 5–70°, in order of rising 2θ)
2θ = 24.1°, rel. 100.0; 2θ = 24.7°, rel. 46.9; 2θ = 32.6°, rel. 25.8; 2θ = 35.6°, rel. 7.7; 2θ = 37.1°, rel. 7.7; 2θ = 37.4°, rel. 17.6; 2θ = 41.9°, rel. 14.8; 2θ = 43.1°, rel. 22.4; 2θ = 44.4°, rel. 12.8; 2θ = 49.3°, rel. 14.6

Crystal structure
```
Li3As2H
1.0
7.3540 0.0000 0.0000
0.0000 8.6191 0.0000
-1.1677 0.0000 5.7984
Li As H
12 8 4
Direct
0.0675 0.2376 0.0161
0.0675 0.2624 0.5161
0.3127 0.5339 0.5820
0.3127 0.9661 0.0820
0.3256 0.5359 0.0808
0.3256 0.9641 0.5808
0.6744 0.0359 0.4192
0.6744 0.4641 0.9192
0.6873 0.0339 0.9180
0.6873 0.4661 0.4180
0.9325 0.7376 0.4839
0.9325 0.7624 0.9839
0.9999 0.0000 0.2835
0.0001 0.0000 0.7165
0.0001 0.5000 0.2165
0.9999 0.5000 0.7835
0.4727 0.2488 0.6175
0.4727 0.2512 0.1175
0.5273 0.7488 0.8825
0.5273 0.7512 0.3825
0.3122 0.7230 0.3300
0.3122 0.7770 0.8300
0.6878 0.2230 0.1700
0.6878 0.2770 0.6700
```



Entry 2:
This entry pairs a crystal structure of NaLaGdIn with its simulated PXRD pattern. Radiation: λ = 1.5418 Å (Cu Kα). Structure: a DFT-relaxed cell (GGA-PBE, Alexandria).

Peak list (10 most intense, 2θ = 5–70°, in order of rising 2θ)
2θ = 19.6°, rel. 10.8; 2θ = 22.6°, rel. 14.5; 2θ = 32.2°, rel. 100.0; 2θ = 38.0°, rel. 6.1; 2θ = 39.7°, rel. 4.5; 2θ = 46.2°, rel. 18.2; 2θ = 50.6°, rel. 2.6; 2θ = 52.0°, rel. 6.4; 2θ = 57.5°, rel. 37.7; 2θ = 67.4°, rel. 11.5

Crystal structure
```
NaLaGdIn
1.0
0.0000 3.9289 3.9289
3.9289 0.0000 3.9289
3.9289 3.9289 0.0000
Na La Gd In
1 1 1 1
Direct
0.0000 0.0000 0.0000
0.7500 0.7500 0.7500
0.2500 0.2500 0.2500
0.5000 0.5000 0.5000
```



Entry 3:
This entry pairs a crystal structure of NdLuCdHg with its simulated PXRD pattern. Radiation: λ = 1.5418 Å (Cu Kα). Structure: a DFT-relaxed cell (GGA-PBE, Alexandria).

Peak list (7 most intense, 2θ = 5–70°, in order of rising 2θ)
2θ = 20.5°, rel. 4.3; 2θ = 33.7°, rel. 100.0; 2θ = 39.7°, rel. 2.7; 2θ = 48.4°, rel. 18.1; 2θ = 53.1°, rel. 1.2; 2θ = 60.3°, rel. 37.6; 2θ = 64.4°, rel. 1.0

Crystal structure
```
NdLuCdHg
1.0
0.0000 3.7604 3.7604
3.7604 0.0000 3.7604
3.7604 3.7604 0.0000
Nd Lu Cd Hg
1 1 1 1
Direct
0.0000 0.0000 0.0000
0.5000 0.5000 0.5000
0.2500 0.2500 0.2500
0.7500 0.7500 0.7500
```



Entry 4:
This entry pairs a crystal structure of CuHg2Br6 with its simulated PXRD pattern. Radiation: λ = 1.5418 Å (Cu Kα). Structure: a DFT-relaxed cell (GGA-PBE, Alexandria).

Peak list (10 most intense, 2θ = 5–70°, in order of rising 2θ)
2θ = 13.7°, rel. 55.9; 2θ = 14.6°, rel. 32.6; 2θ = 18.5°, rel. 100.0; 2θ = 22.5°, rel. 28.7; 2θ = 25.6°, rel. 35.4; 2θ = 26.8°, rel. 30.4; 2θ = 27.0°, rel. 33.4; 2θ = 29.5°, rel. 29.2; 2θ = 37.2°, rel. 36.1; 2θ = 45.7°, rel. 44.8

Crystal structure
```
CuHg2Br6
1.0
6.9517 -7.9055 0.0000
6.9517 7.9055 0.0000
-3.4833 0.0000 6.1513
Cu Hg Br
2 4 12
Direct
0.2442 0.7558 0.7500
0.7558 0.2442 0.2500
0.1732 0.3324 0.5714
0.3324 0.1732 0.0714
0.6676 0.8268 0.9286
0.8268 0.6676 0.4286
0.0767 0.7842 0.4499
0.1738 0.3414 0.2004
0.2158 0.9233 0.0501
0.2657 0.5825 0.9043
0.3414 0.1738 0.7004
0.4175 0.7343 0.5957
0.5825 0.2657 0.4043
0.6586 0.8262 0.2996
0.7343 0.4175 0.0957
0.7842 0.0767 0.9499
0.8262 0.6586 0.7996
0.9233 0.2158 0.5501
```



Entry 5:
This entry pairs a crystal structure of Nd5Er2Tm2 with its simulated PXRD pattern. Radiation: λ = 1.5418 Å (Cu Kα). Structure: a DFT-relaxed cell (GGA-PBE, Alexandria).

Peak list (7 most intense, 2θ = 5–70°, in order of rising 2θ)
2θ = 30.4°, rel. 100.0; 2θ = 35.3°, rel. 50.7; 2θ = 50.8°, rel. 36.1; 2θ = 60.3°, rel. 32.2; 2θ = 60.4°, rel. 10.7; 2θ = 63.2°, rel. 3.1; 2θ = 63.3°, rel. 9.3

Crystal structure
```
Nd5Er2Tm2
1.0
6.2294 0.0000 0.0000
1.0330 6.1486 0.0000
2.0768 0.7144 7.7367
Nd Er Tm
5 2 2
Direct
0.0000 0.0000 0.0000
0.1112 0.2218 0.5553
0.3342 0.6650 0.6703
0.6658 0.3350 0.3297
0.8888 0.7782 0.4447
0.4427 0.8886 0.2177
0.5573 0.1114 0.7823
0.2250 0.4430 0.1092
0.7750 0.5570 0.8908
```



Entry 6:
This entry pairs a crystal structure of Tb3DyPd4 with its simulated PXRD pattern. Radiation: λ = 1.5418 Å (Cu Kα). Structure: a DFT-relaxed cell (GGA-PBE, Alexandria).

Peak list (6 most intense, 2θ = 5–70°, in order of rising 2θ)
2θ = 25.3°, rel. 4.2; 2θ = 36.1°, rel. 100.0; 2θ = 44.5°, rel. 1.3; 2θ = 51.9°, rel. 17.6; 2θ = 58.6°, rel. 1.8; 2θ = 64.8°, rel. 35.7

Crystal structure
```
Tb3DyPd4
1.0
-3.5230 3.5230 3.5230
3.5230 -3.5230 3.5230
3.5230 3.5230 -3.5230
Tb Dy Pd
3 1 4
Direct
0.0000 0.5000 0.5000
0.5000 0.0000 0.5000
0.5000 0.5000 0.0000
0.0000 0.0000 0.0000
0.0000 0.0000 0.5000
0.0000 0.5000 0.0000
0.5000 0.0000 0.0000
0.5000 0.5000 0.5000
```



Entry 7:
This entry pairs a crystal structure of Ca2Ac4LaPm with its simulated PXRD pattern. Radiation: λ = 1.5418 Å (Cu Kα). Structure: a DFT-relaxed cell (GGA-PBE, Alexandria).

Peak list (10 most intense, 2θ = 5–70°, in order of rising 2θ)
2θ = 9.2°, rel. 14.4; 2θ = 18.5°, rel. 30.8; 2θ = 24.7°, rel. 50.3; 2θ = 27.6°, rel. 75.2; 2θ = 27.7°, rel. 36.3; 2θ = 37.4°, rel. 100.0; 2θ = 49.0°, rel. 14.6; 2θ = 55.6°, rel. 19.6; 2θ = 58.6°, rel. 26.4; 2θ = 63.1°, rel. 13.9

Crystal structure
```
Ca2Ac4LaPm
1.0
7.4359 -7.2198 0.0000
7.4359 7.2198 0.0000
-3.7422 0.0000 6.4574
Ca Ac La Pm
4 8 2 2
Direct
0.0000 0.0000 0.0000
0.0000 0.0000 0.5000
0.0000 0.5000 0.0000
0.5000 0.0000 0.5000
0.2549 0.7437 0.9875
0.2563 0.7451 0.5125
0.2598 0.2694 0.5174
0.2694 0.2598 0.0174
0.7306 0.7402 0.9826
0.7402 0.7306 0.4826
0.7437 0.2549 0.4875
0.7451 0.2563 0.0125
0.0000 0.5000 0.5000
0.5000 0.0000 0.0000
0.5000 0.5000 0.0000
0.5000 0.5000 0.5000
```



Entry 8:
This entry pairs a crystal structure of Dy3Tl3Cd2 with its simulated PXRD pattern. Radiation: λ = 1.5418 Å (Cu Kα). Structure: a DFT-relaxed cell (GGA-PBE, Alexandria).

Peak list (10 most intense, 2θ = 5–70°, in order of rising 2θ)
2θ = 19.7°, rel. 9.1; 2θ = 29.2°, rel. 25.7; 2θ = 30.3°, rel. 19.2; 2θ = 33.8°, rel. 100.0; 2θ = 34.5°, rel. 35.9; 2θ = 35.4°, rel. 53.6; 2θ = 44.4°, rel. 19.3; 2θ = 50.3°, rel. 10.5; 2θ = 54.7°, rel. 25.7; 2θ = 67.4°, rel. 17.2

Crystal structure
```
Dy3Tl3Cd2
1.0
9.0005 0.0000 0.0000
-4.5002 7.7946 0.0000
0.0000 0.0000 6.1262
Dy Tl Cd
6 6 4
Direct
0.0000 0.2442 0.2500
0.0000 0.7558 0.7500
0.2442 0.0000 0.2500
0.2442 0.2442 0.7500
0.7558 0.0000 0.7500
0.7558 0.7558 0.2500
0.0000 0.3941 0.7500
0.0000 0.6059 0.2500
0.3941 0.0000 0.7500
0.3941 0.3941 0.2500
0.6059 0.0000 0.2500
0.6059 0.6059 0.7500
0.3333 0.6667 0.0000
0.3333 0.6667 0.5000
0.6667 0.3333 0.0000
0.6667 0.3333 0.5000
```



Entry 9:
This entry pairs a crystal structure of RbGaPb with its simulated PXRD pattern. Radiation: λ = 1.5418 Å (Cu Kα). Structure: a DFT-relaxed cell (GGA-PBE, Alexandria).

Peak list (10 most intense, 2θ = 5–70°, in order of rising 2θ)
2θ = 13.5°, rel. 55.9; 2θ = 19.9°, rel. 29.9; 2θ = 26.0°, rel. 33.0; 2θ = 27.2°, rel. 41.8; 2θ = 29.9°, rel. 17.2; 2θ = 33.0°, rel. 100.0; 2θ = 33.9°, rel. 16.2; 2θ = 40.9°, rel. 15.3; 2θ = 49.4°, rel. 15.1; 2θ = 51.8°, rel. 28.3

Crystal structure
```
RbGaPb
1.0
4.0197 -6.5595 0.0000
4.0197 6.5595 0.0000
0.0000 0.0000 4.4581
Rb Ga Pb
2 2 2
Direct
0.2500 0.2500 0.0000
0.7500 0.7500 0.0000
0.0000 0.5000 0.5000
0.5000 0.0000 0.5000
0.2500 0.7500 0.9695
0.7500 0.2500 0.0305
```



Entry 10:
This entry pairs a crystal structure of LiGa8Co5 with its simulated PXRD pattern. Radiation: λ = 1.5418 Å (Cu Kα). Structure: a DFT-relaxed cell (GGA-PBE, Alexandria).

Peak list (10 most intense, 2θ = 5–70°, in order of rising 2θ)
2θ = 17.1°, rel. 26.8; 2θ = 30.6°, rel. 22.5; 2θ = 37.7°, rel. 60.5; 2θ = 40.0°, rel. 87.2; 2θ = 40.3°, rel. 62.3; 2θ = 45.9°, rel. 100.0; 2θ = 47.1°, rel. 51.0; 2θ = 47.8°, rel. 63.4; 2θ = 61.3°, rel. 17.3; 2θ = 63.7°, rel. 18.2

Crystal structure
```
LiGa8Co5
1.0
-3.5398 3.5398 3.7997
3.5398 -3.5398 3.7997
3.5398 3.5398 -3.7997
Li Ga Co
1 8 5
Direct
0.0000 0.0000 0.0000
0.0715 0.3173 0.4337
0.2630 0.1659 0.7601
0.3622 0.9285 0.2458
0.4058 0.5029 0.2399
0.4971 0.7370 0.9029
0.6827 0.1164 0.7542
0.8341 0.5942 0.0971
0.8836 0.6378 0.5663
0.0552 0.4769 0.8603
0.2500 0.7500 0.5000
0.5231 0.3835 0.5784
0.6165 0.1949 0.1397
0.8051 0.9448 0.4216
```



Entry 11:
This entry pairs a crystal structure of Ba8Pt2Br with its simulated PXRD pattern. Radiation: λ = 1.5418 Å (Cu Kα). Structure: a DFT-relaxed cell (GGA-PBE, Alexandria).

Peak list (10 most intense, 2θ = 5–70°, in order of rising 2θ)
2θ = 16.6°, rel. 60.1; 2θ = 17.1°, rel. 53.0; 2θ = 19.8°, rel. 71.2; 2θ = 24.0°, rel. 78.8; 2θ = 26.9°, rel. 51.5; 2θ = 29.6°, rel. 31.2; 2θ = 33.6°, rel. 60.4; 2θ = 34.7°, rel. 100.0; 2θ = 44.4°, rel. 79.2; 2θ = 67.1°, rel. 29.2

Crystal structure
```
Ba8Pt2Br
1.0
6.6324 0.0000 0.0000
0.0002 10.3415 0.0000
0.0004 5.1656 8.9599
Ba Pt Br
8 2 1
Direct
0.2467 0.1666 0.1666
0.2531 0.1678 0.6671
0.2531 0.6649 0.1678
0.2532 0.6673 0.6650
0.7468 0.3327 0.3350
0.7469 0.3351 0.8322
0.7469 0.8322 0.3329
0.7533 0.8334 0.8334
0.2546 0.8334 0.8334
0.7454 0.1666 0.1666
0.0000 0.5000 0.5000
```



Entry 12:
This entry pairs a crystal structure of Ca2ReO4F with its simulated PXRD pattern. Radiation: λ = 1.5418 Å (Cu Kα). Structure: a DFT-relaxed cell (GGA-PBE, Alexandria).

Peak list (10 most intense, 2θ = 5–70°, in order of rising 2θ)
2θ = 14.4°, rel. 100.0; 2θ = 19.2°, rel. 34.9; 2θ = 20.0°, rel. 38.4; 2θ = 27.6°, rel. 53.0; 2θ = 28.7°, rel. 54.4; 2θ = 29.4°, rel. 35.8; 2θ = 34.2°, rel. 37.9; 2θ = 38.8°, rel. 49.3; 2θ = 42.4°, rel. 39.8; 2θ = 49.7°, rel. 24.3

Crystal structure
```
Ca2ReO4F
1.0
4.8756 -1.6579 0.0000
4.8756 1.6579 0.0000
-2.8172 0.0000 6.1356
Ca Re O F
2 1 4 1
Direct
0.1751 0.1751 0.2110
0.8249 0.8249 0.7890
0.0000 0.0000 0.5000
0.1468 0.1468 0.7834
0.3918 0.3918 0.5579
0.6082 0.6082 0.4421
0.8532 0.8532 0.2166
0.5000 0.5000 0.0000
```



> Which formula does entry 10 have?

LiGa8Co5